1.
PrNdSb4: theoretical powder diffractogram (copper Kα), based on a crystal structure in the Materials Project, relaxed with GGA-PBE.
Intensities are scaled so that the largest is 100.

Peak list (12 most intense, 10 to 90 degrees two-theta, by angle)
24.9°, I = 32
28.5°, I = 22
29.3°, I = 75
30.1°, I = 94
32.1°, I = 94
32.2°, I = 92
34.7°, I = 80
35.7°, I = 27
35.8°, I = 26
41.0°, I = 100
54.4°, I = 22
59.0°, I = 37

Unit cell a=4.431 b=4.431 c=18.274 alpha=90.21 beta=90.21 gamma=90.08
Atoms (fractional coordinates):
Pr 0.136 0.136 0.389
Pr 0.864 0.864 0.611
Nd 0.361 0.361 0.889
Nd 0.639 0.639 0.111
Sb 0.128 0.622 0.249
Sb 0.134 0.134 0.064
Sb 0.367 0.367 0.563
Sb 0.378 0.872 0.751
Sb 0.622 0.128 0.249
Sb 0.633 0.633 0.437
Sb 0.866 0.866 0.936
Sb 0.872 0.378 0.751

---

2.
Ti5CuSn3: theoretical powder diffractogram (copper Kα), based on a crystal structure in the Materials Project, relaxed with GGA-PBE.
Intensities are scaled so that the largest is 100.

Peak list (12 most intense, 10 to 90 degrees two-theta, by angle)
27.0°, I = 54
32.3°, I = 22
37.1°, I = 71
37.9°, I = 96
39.2°, I = 100
47.1°, I = 15
48.9°, I = 35
55.7°, I = 22
60.8°, I = 16
69.3°, I = 16
72.2°, I = 21
80.3°, I = 21

Unit cell a=8.225 b=8.225 c=5.538 alpha=90.00 beta=90.00 gamma=120.00
Atoms (fractional coordinates):
Ti 0.000 0.270 0.250
Ti 0.000 0.730 0.750
Ti 0.270 0.000 0.250
Ti 0.270 0.270 0.750
Ti 0.333 0.667 0.000
Ti 0.333 0.667 0.500
Ti 0.667 0.333 0.000
Ti 0.667 0.333 0.500
Ti 0.730 0.000 0.750
Ti 0.730 0.730 0.250
Cu 0.000 0.000 0.000
Cu 0.000 0.000 0.500
Sn 0.000 0.382 0.750
Sn 0.000 0.618 0.250
Sn 0.382 0.000 0.750
Sn 0.382 0.382 0.250
Sn 0.618 0.000 0.250
Sn 0.618 0.618 0.750

---

3.
Sn7S2Br10: theoretical powder diffractogram (copper Kα), based on a crystal structure in the Materials Project, relaxed with GGA-PBE.
Intensities are scaled so that the largest is 100.

Peak list (12 most intense, 10 to 90 degrees two-theta, by angle)
15.3°, I = 52
15.9°, I = 28
16.8°, I = 32
19.8°, I = 47
20.9°, I = 30
21.3°, I = 56
26.3°, I = 100
26.6°, I = 38
28.0°, I = 53
34.1°, I = 29
41.1°, I = 58
42.5°, I = 35

Unit cell a=6.706 b=11.248 c=11.421 alpha=61.49 beta=85.72 gamma=82.77
Atoms (fractional coordinates):
Sn 0.000 0.000 0.000
Sn 0.030 0.679 0.368
Sn 0.197 0.446 0.795
Sn 0.242 0.592 0.113
Sn 0.688 0.862 0.713
Sn 0.750 0.338 0.547
Sn 0.792 0.184 0.198
S 0.015 0.229 0.990
S 0.957 0.486 0.597
Br 0.026 0.876 0.438
Br 0.028 0.370 0.288
Br 0.448 0.600 0.366
Br 0.479 0.841 0.938
Br 0.490 0.256 0.773
Br 0.499 0.422 0.044
Br 0.501 0.693 0.673
Br 0.623 0.003 0.138
Br 0.980 0.667 0.887
Br 0.996 0.091 0.726

---

4.
Ca6Cu2Sn7: theoretical powder diffractogram (copper Kα), based on a crystal structure in the Materials Project, relaxed with GGA-PBE.
Intensities are scaled so that the largest is 100.

Peak list (12 most intense, 10 to 90 degrees two-theta, by angle)
14.7°, I = 39
20.4°, I = 35
21.5°, I = 37
21.7°, I = 39
29.5°, I = 45
30.0°, I = 100
31.3°, I = 50
35.9°, I = 70
37.0°, I = 55
37.7°, I = 46
39.4°, I = 61
55.6°, I = 32

Unit cell a=7.536 b=7.536 c=12.425 alpha=93.76 beta=93.76 gamma=35.36
Atoms (fractional coordinates):
Ca 0.038 0.038 0.201
Ca 0.137 0.137 0.503
Ca 0.305 0.305 0.207
Ca 0.695 0.695 0.793
Ca 0.863 0.863 0.497
Ca 0.962 0.962 0.799
Cu 0.330 0.330 0.889
Cu 0.670 0.670 0.111
Sn 0.160 0.160 0.981
Sn 0.317 0.317 0.676
Sn 0.489 0.489 0.381
Sn 0.500 0.500 0.000
Sn 0.511 0.511 0.619
Sn 0.683 0.683 0.324
Sn 0.840 0.840 0.019

---

5.
BaHfMg14O16: theoretical powder diffractogram (copper Kα), based on a crystal structure in the Materials Project, relaxed with GGA-PBE.
Intensities are scaled so that the largest is 100.

Peak list (12 most intense, 10 to 90 degrees two-theta, by angle)
14.2°, I = 85
20.1°, I = 50
24.2°, I = 63
28.1°, I = 43
32.0°, I = 36
34.8°, I = 62
37.7°, I = 39
39.5°, I = 57
40.8°, I = 100
58.1°, I = 64
59.0°, I = 30
73.4°, I = 29

Unit cell a=8.850 b=8.850 c=4.557 alpha=90.00 beta=90.00 gamma=90.00
Atoms (fractional coordinates):
Ba 0.000 0.000 0.000
Hf 0.500 0.500 0.000
Mg 0.000 0.263 0.500
Mg 0.000 0.500 0.000
Mg 0.000 0.737 0.500
Mg 0.244 0.500 0.500
Mg 0.252 0.252 0.000
Mg 0.252 0.748 0.000
Mg 0.263 0.000 0.500
Mg 0.500 0.000 0.000
Mg 0.500 0.244 0.500
Mg 0.500 0.756 0.500
Mg 0.737 0.000 0.500
Mg 0.748 0.252 0.000
Mg 0.748 0.748 0.000
Mg 0.756 0.500 0.500
O 0.000 0.000 0.500
O 0.000 0.281 0.000
O 0.000 0.500 0.500
O 0.000 0.719 0.000
O 0.249 0.249 0.500
O 0.249 0.751 0.500
O 0.255 0.500 0.000
O 0.281 0.000 0.000
O 0.500 0.000 0.500
O 0.500 0.255 0.000
O 0.500 0.500 0.500
O 0.500 0.745 0.000
O 0.719 0.000 0.000
O 0.745 0.500 0.000
O 0.751 0.249 0.500
O 0.751 0.751 0.500

---

6.
SmGa2Co: theoretical powder diffractogram (copper Kα), based on a crystal structure in the Materials Project, relaxed with GGA-PBE.
Intensities are scaled so that the largest is 100.

Peak list (12 most intense, 10 to 90 degrees two-theta, by angle)
26.3°, I = 14
29.7°, I = 29
31.2°, I = 19
34.4°, I = 100
37.5°, I = 14
41.7°, I = 38
43.9°, I = 26
44.3°, I = 25
46.5°, I = 12
53.9°, I = 11
62.5°, I = 22
64.1°, I = 16

Unit cell a=9.133 b=9.133 c=4.089 alpha=90.00 beta=90.00 gamma=153.89
Atoms (fractional coordinates):
Sm 0.143 0.857 0.000
Sm 0.857 0.143 0.000
Ga 0.000 0.000 0.500
Ga 0.292 0.708 0.500
Ga 0.500 0.500 0.000
Ga 0.708 0.292 0.500
Co 0.427 0.573 0.500
Co 0.573 0.427 0.500

---

7.
Er4MnS7: theoretical powder diffractogram (copper Kα), based on a crystal structure in the Materials Project, relaxed with GGA-PBE.
Intensities are scaled so that the largest is 100.

Peak list (12 most intense, 10 to 90 degrees two-theta, by angle)
24.4°, I = 100
25.0°, I = 92
25.4°, I = 34
26.6°, I = 30
28.6°, I = 85
32.1°, I = 47
32.5°, I = 54
33.8°, I = 52
34.9°, I = 58
40.8°, I = 27
42.7°, I = 43
48.2°, I = 55

Unit cell a=6.525 b=6.525 c=11.413 alpha=103.79 beta=103.79 gamma=33.64
Atoms (fractional coordinates):
Er 0.000 0.000 0.000
Er 0.390 0.390 0.603
Er 0.581 0.581 0.368
Er 0.695 0.695 0.803
Mn 0.808 0.808 0.220
S 0.035 0.035 0.748
S 0.200 0.200 0.297
S 0.355 0.355 0.850
S 0.429 0.429 0.153
S 0.658 0.658 0.022
S 0.734 0.734 0.584
S 0.952 0.952 0.443

---

8.
DyCo3B2: theoretical powder diffractogram (copper Kα), based on a crystal structure in the Materials Project, relaxed with GGA-PBE.
Intensities are scaled so that the largest is 100.

Peak list (12 most intense, 10 to 90 degrees two-theta, by angle)
20.5°, I = 34
36.0°, I = 14
36.2°, I = 100
41.8°, I = 83
47.2°, I = 57
56.3°, I = 5
61.2°, I = 10
64.8°, I = 36
72.6°, I = 15
76.2°, I = 15
76.8°, I = 26
87.4°, I = 16

Unit cell a=4.996 b=4.996 c=3.029 alpha=90.00 beta=90.00 gamma=120.00
Atoms (fractional coordinates):
Dy 0.000 0.000 0.000
Co 0.000 0.500 0.500
Co 0.500 0.000 0.500
Co 0.500 0.500 0.500
B 0.333 0.667 0.000
B 0.667 0.333 0.000

---

9.
LiPt3: theoretical powder diffractogram (copper Kα), based on a crystal structure in the Materials Project, relaxed with GGA-PBE.
Intensities are scaled so that the largest is 100.

Peak list (11 most intense, 10 to 90 degrees two-theta, by angle)
22.9°, I = 33
32.5°, I = 27
40.1°, I = 100
46.7°, I = 49
52.6°, I = 14
58.1°, I = 11
68.2°, I = 32
72.9°, I = 7
77.6°, I = 5
82.2°, I = 39
86.7°, I = 12

Unit cell a=3.891 b=3.891 c=3.891 alpha=90.00 beta=90.00 gamma=90.00
Atoms (fractional coordinates):
Li 0.000 0.000 0.000
Pt 0.000 0.500 0.500
Pt 0.500 0.000 0.500
Pt 0.500 0.500 0.000

---

10.
TeRhCl: theoretical powder diffractogram (copper Kα), based on a crystal structure in the Materials Project, relaxed with GGA-PBE.
Intensities are scaled so that the largest is 100.

Peak list (12 most intense, 10 to 90 degrees two-theta, by angle)
14.7°, I = 100
14.8°, I = 35
30.8°, I = 46
31.0°, I = 92
40.4°, I = 46
40.9°, I = 22
41.2°, I = 14
47.2°, I = 37
49.0°, I = 17
52.1°, I = 14
54.0°, I = 25
59.0°, I = 14

Unit cell a=7.055 b=7.055 c=6.757 alpha=116.60 beta=116.60 gamma=30.57
Atoms (fractional coordinates):
Te 0.140 0.140 0.473
Te 0.860 0.860 0.527
Rh 0.251 0.251 0.247
Rh 0.749 0.749 0.753
Cl 0.362 0.362 0.032
Cl 0.638 0.638 0.968